(1)
# Th2TcB12Ir3
Computed XRD peak list, Cu Kα, 1.54184 Å. Input: a DFT-relaxed cell (PBE, Alexandria).
Kinematic intensities with the Lorentz-polarization factor, no thermal factor.

Atomic structure:
```
Th2TcB12Ir3
1.0
2.8721 1.6582 7.6336
-2.8721 1.6582 7.6336
0.0000 -3.3164 7.6336
Th Tc B Ir
2 1 12 3
Cartesian
0.0000 0.0000 3.1579
0.0000 0.0000 19.7430
0.0000 0.0000 11.4505
-1.2162 -0.7022 9.8696
0.0000 -1.0259 5.9458
-0.8884 0.5129 5.9458
0.0000 -1.4043 13.0313
-1.2162 0.7022 13.0313
0.8884 0.5129 5.9458
-0.8884 -0.5129 16.9551
1.2162 -0.7022 9.8696
0.0000 1.4043 9.8696
0.8884 -0.5129 16.9551
0.0000 1.0259 16.9551
1.2162 0.7022 13.0313
-1.4360 -0.8291 7.6336
-1.4360 0.8291 15.2673
0.0000 1.6582 7.6336
```

Main lines, in order of rising 2θ (2θ = 5–70°):
two_theta	d/Å	Rel. int.
23.31	3.817	54.9
23.69	3.755	57.0
26.45	3.369	41.2
33.33	2.688	100.0
36.33	2.473	52.6
36.98	2.431	31.8
45.83	1.980	38.4
48.48	1.878	42.7
56.82	1.620	22.7
64.92	1.436	27.2

---

(2)
# Th3B2Ir9
Computed XRD peak list, Cu Kα, 1.54184 Å. Input: a DFT-relaxed cell (PBE, Alexandria).
Kinematic intensities with the Lorentz-polarization factor, no thermal factor.

Atomic structure:
```
Th3B2Ir9
1.0
6.0262 0.0000 0.0000
-3.0131 5.2189 0.0000
0.0000 0.0000 7.3473
Th B Ir
3 2 9
Cartesian
0.0000 0.0000 0.0000
0.0000 3.4792 2.4802
3.0131 1.7396 4.8671
0.0000 3.4792 5.9789
3.0131 1.7396 1.3684
-1.5066 2.6094 0.0000
0.0000 1.6737 4.8622
-1.5636 4.3820 4.8622
1.4495 0.8369 2.4851
3.0131 0.0000 0.0000
1.5066 2.6094 0.0000
1.5636 4.3820 4.8622
4.5767 0.8369 2.4851
3.0131 3.5451 2.4851
```

Main lines, in order of rising 2θ (2θ = 5–70°):
two_theta	d/Å	Rel. int.
20.88	4.255	0.6
29.70	3.008	1.0
36.54	2.459	100.0
36.69	2.449	33.0
42.49	2.127	67.8
61.56	1.507	22.8
61.76	1.502	22.7

---

(3)
# Th4ZnB3Ir12
Computed XRD peak list, Cu Kα, 1.54184 Å. Input: a DFT-relaxed cell (PBE, Alexandria).
Kinematic intensities with the Lorentz-polarization factor, no thermal factor.

Atomic structure:
```
Th4ZnB3Ir12
1.0
-4.3850 4.3850 4.3850
4.3850 -4.3850 4.3850
4.3850 4.3850 -4.3850
Th Zn B Ir
4 1 3 12
Cartesian
2.1925 2.1925 -2.1925
2.1925 -2.1925 2.1925
-2.1925 2.1925 2.1925
2.1925 2.1925 2.1925
0.0000 0.0000 0.0000
4.3850 0.0000 0.0000
0.0000 4.3850 0.0000
0.0000 0.0000 4.3850
2.3837 0.0000 0.0000
6.3863 0.0000 0.0000
4.3850 2.1925 0.0000
4.3850 0.0000 2.1925
0.0000 2.3837 0.0000
0.0000 0.0000 2.3837
2.1925 4.3850 0.0000
2.1925 0.0000 4.3850
0.0000 6.3863 0.0000
0.0000 0.0000 6.3863
0.0000 4.3850 2.1925
0.0000 2.1925 4.3850
```

Main lines, in order of rising 2θ (2θ = 5–70°):
two_theta	d/Å	Rel. int.
28.79	3.101	1.9
32.28	2.773	1.1
35.46	2.532	100.0
38.40	2.344	1.7
41.17	2.193	56.0
43.79	2.067	1.4
48.70	1.870	2.0
53.26	1.720	0.8
59.64	1.550	36.9
69.46	1.353	0.8

---

(4)
# TmB4Ir5
Computed XRD peak list, Cu Kα, 1.54184 Å. Input: a DFT-relaxed cell (PBE, Alexandria).
Kinematic intensities with the Lorentz-polarization factor, no thermal factor.

Atomic structure:
```
TmB4Ir5
1.0
6.8713 0.0000 0.0000
0.0000 6.8713 0.0000
0.0000 0.0000 5.3840
Tm B Ir
2 8 10
Cartesian
1.7178 5.1535 0.0000
5.1535 1.7178 0.0000
0.2485 1.7178 2.2239
1.7178 0.2485 2.2239
1.7178 3.1871 2.2239
3.1871 1.7178 2.2239
3.6842 5.1535 3.1601
5.1535 3.6842 3.1601
5.1535 6.6228 3.1601
6.6228 5.1535 3.1601
0.2678 0.2678 3.9469
0.2678 3.1679 3.9469
1.7178 1.7178 0.5572
3.1679 0.2678 3.9469
3.1679 3.1679 3.9469
3.7034 3.7034 1.4371
3.7034 6.6035 1.4371
5.1535 5.1535 4.8268
6.6035 3.7034 1.4371
6.6035 6.6035 1.4371
```

Main lines, in order of rising 2θ (2θ = 5–70°):
two_theta	d/Å	Rel. int.
16.46	5.384	14.5
25.93	3.436	23.2
30.87	2.896	47.4
33.28	2.692	16.5
33.58	2.669	36.7
37.00	2.429	82.1
42.67	2.119	100.0
42.91	2.108	50.1
50.83	1.796	20.8
53.33	1.718	22.1

---

(5)
# UB3Ir3
Computed XRD peak list, Cu Kα, 1.54184 Å. Input: a DFT-relaxed cell (PBE, Alexandria).
Kinematic intensities with the Lorentz-polarization factor, no thermal factor.

Atomic structure:
```
UB3Ir3
1.0
7.7849 0.0000 0.0000
-3.8925 6.7419 0.0000
0.0000 0.0000 3.6466
U B Ir
2 6 6
Cartesian
0.0000 4.4946 0.9116
3.8925 2.2473 2.7349
-1.2807 2.9275 2.7349
-0.7168 6.3873 2.7349
1.8949 2.5729 0.9116
1.9975 4.1690 2.7349
4.6093 0.3546 0.9116
5.1732 3.8144 0.9116
-2.2882 4.9270 2.7349
0.7696 2.2968 2.7349
2.3739 0.4819 0.9116
1.5186 6.2600 2.7349
3.1228 4.4451 0.9116
6.1806 1.8149 0.9116
```

Main lines, in order of rising 2θ (2θ = 5–70°):
two_theta	d/Å	Rel. int.
26.44	3.371	29.9
33.68	2.661	79.5
35.22	2.548	26.8
36.29	2.475	100.0
40.12	2.247	47.5
43.32	2.089	24.6
48.70	1.870	23.8
50.03	1.823	20.1
65.56	1.424	35.3
65.98	1.416	22.6

---

(6)
# UB3Ir6
Computed XRD peak list, Cu Kα, 1.54184 Å. Input: a DFT-relaxed cell (PBE, Alexandria).
Kinematic intensities with the Lorentz-polarization factor, no thermal factor.

Atomic structure:
```
UB3Ir6
1.0
5.4030 0.0000 0.0000
2.6995 4.6804 0.0000
2.6927 1.5585 5.4167
U B Ir
1 3 6
Cartesian
0.0000 0.0000 0.0000
2.7004 1.5531 2.8411
5.3965 3.1145 5.0665
8.0973 4.6762 5.0559
4.2932 4.2978 3.6217
5.4020 4.6737 1.1999
4.0562 2.3402 1.1978
4.9222 1.5665 3.6222
6.9748 3.4762 3.6212
6.7509 2.3400 1.1975
```

Main lines, in order of rising 2θ (2θ = 5–70°):
two_theta	d/Å	Rel. int.
29.11	3.068	34.3
33.11	2.706	64.6
33.57	2.669	37.4
37.19	2.418	52.0
38.89	2.316	100.0
40.10	2.249	35.4
44.69	2.028	16.9
47.54	1.913	56.7
47.90	1.899	29.9
69.58	1.351	17.8

---

(7)
# UB3Ir3
Computed XRD peak list, Cu Kα, 1.54184 Å. Input: a DFT-relaxed cell (PBE, Alexandria).
Kinematic intensities with the Lorentz-polarization factor, no thermal factor.

Atomic structure:
```
UB3Ir3
1.0
5.8916 0.0000 0.0000
0.0000 5.8916 0.0000
0.0000 0.0000 5.8916
U B Ir
2 6 6
Cartesian
0.0000 0.0000 0.0000
2.9458 2.9458 2.9458
0.0000 1.4729 2.9458
0.0000 4.4187 2.9458
1.4729 2.9458 0.0000
2.9458 0.0000 1.4729
2.9458 0.0000 4.4187
4.4187 2.9458 0.0000
0.0000 2.9458 1.4729
0.0000 2.9458 4.4187
1.4729 0.0000 2.9458
2.9458 1.4729 0.0000
2.9458 4.4187 0.0000
4.4187 0.0000 2.9458
```

Main lines, in order of rising 2θ (2θ = 5–70°):
two_theta	d/Å	Rel. int.
21.33	4.166	0.8
30.34	2.946	43.4
34.03	2.635	93.3
37.39	2.405	100.0
53.91	1.701	8.4
56.30	1.634	23.0
58.63	1.575	55.4
63.12	1.473	20.5

---

(8)
# VZn2BIr
Computed XRD peak list, Cu Kα, 1.54184 Å. Input: a DFT-relaxed cell (PBE, Alexandria).
Kinematic intensities with the Lorentz-polarization factor, no thermal factor.

Atomic structure:
```
VZn2BIr
1.0
4.7313 0.0000 0.0000
0.0000 4.7313 0.0000
0.0000 0.0000 3.9685
V Zn B Ir
1 2 1 1
Cartesian
0.0000 0.0000 0.0000
0.0000 2.3656 1.9843
2.3656 0.0000 1.9843
2.3656 2.3656 0.0000
2.3656 2.3656 1.9843
```

Main lines, in order of rising 2θ (2θ = 5–70°):
two_theta	d/Å	Rel. int.
18.76	4.731	59.0
22.40	3.969	67.3
29.38	3.041	100.0
38.04	2.366	71.7
44.59	2.032	45.9
45.72	1.984	21.0
48.77	1.867	49.7
54.89	1.673	24.1
60.02	1.541	19.0
60.94	1.520	34.8

---

> Number 7 is which compound?

UB3Ir3